The following is a theoretical X-ray powder pattern of TbSm2Dy2Er4. It was derived from a crystal structure in Alexandria, relaxed with GGA-PBE, using Cu Kα, 1.54184 Å.

Top 10 peaks for 2θ = 15–90°, in order of falling intensity:
(hkl), 2θ/deg, I_rel
3 1 -2, 32.09, 100
3 1 1, 33.80, 92
0 0 3, 31.34, 51
9 1 1, 61.18, 46
0 2 0, 51.10, 39
6 0 -1, 29.05, 36
3 1 -5, 55.14, 21
9 1 4, 87.46, 20
3 1 4, 58.47, 20
6 0 -2, 29.68, 18

Crystal structure
a = 18.570 Å, b = 3.576 Å, c = 9.506 Å
α = 90.00°, β = 115.73°, γ = 90.00°
Space group C2/m (No. 12)
One atom of each set of equivalent atoms:
Tb 0.000 0.000 0.000 (multiplicity 2)
Sm 0.166 0.500 0.000 (multiplicity 4)
Dy 0.147 0.000 0.663 (multiplicity 4)
Er 0.019 0.500 0.335 (multiplicity 4)
Er 0.185 0.000 0.336 (multiplicity 4)